(1)
# BeCuO3
Theoretical powder X-ray diffraction pattern, Cu Kα X-rays. Input: a DFT-relaxed cell (GGA-PBE, the Materials Project).

Largest 9 diffraction maxima, by angle, 10 to 90 degrees two-theta:
Position (°2θ)	I/Imax
25.7	60
36.7	81
45.4	100
52.9	54
59.7	25
66.1	29
78.1	28
83.8	11
89.5	13

```
data_BeCuO3
_chemical_formula_sum 'Be1 Cu1 O3'
_space_group_name_H-M_alt 'P 1'
_space_group_IT_number 1
_space_group_name_Hall 'P 1'
_cell_length_a 3.462
_cell_length_b 3.462
_cell_length_c 3.462
_cell_angle_alpha 90.00
_cell_angle_beta 90.00
_cell_angle_gamma 90.00
loop_
_atom_site_label
_atom_site_fract_x
_atom_site_fract_y
_atom_site_fract_z
Be1 0.000 0.000 0.000
Cu1 0.500 0.500 0.500
O1 0.000 0.000 0.500
O2 0.000 0.500 0.000
O3 0.500 0.000 0.000
```

---

(2)
# HoThTc2
Theoretical powder X-ray diffraction pattern, Cu Kα X-rays. Input: a DFT-relaxed cell (GGA-PBE, the Materials Project).

Largest 10 diffraction maxima, by angle, 10 to 90 degrees two-theta:
Position (°2θ)	I/Imax
22.2	2
25.7	12
36.6	100
45.3	4
52.8	18
59.6	5
66.0	36
77.9	11
83.6	3
89.3	17

```
data_HoThTc2
_chemical_formula_sum 'Ho1 Th1 Tc2'
_space_group_name_H-M_alt 'P 1'
_space_group_IT_number 1
_space_group_name_Hall 'P 1'
_cell_length_a 4.906
_cell_length_b 4.906
_cell_length_c 4.906
_cell_angle_alpha 60.00
_cell_angle_beta 60.00
_cell_angle_gamma 60.00
loop_
_atom_site_label
_atom_site_fract_x
_atom_site_fract_y
_atom_site_fract_z
Ho1 0.000 0.000 0.000
Th1 0.500 0.500 0.500
Tc1 0.250 0.250 0.250
Tc2 0.750 0.750 0.750
```

---

(3)
# Sm8CrTe13Cl
Theoretical powder X-ray diffraction pattern, Cu Kα X-rays. Input: a DFT-relaxed cell (GGA-PBE, the Materials Project).

Largest 10 diffraction maxima, by angle, 10 to 90 degrees two-theta:
Position (°2θ)	I/Imax
29.4	53
30.1	61
31.1	54
32.5	100
32.9	44
33.8	28
38.6	58
39.9	35
44.1	53
60.0	28

```
data_Sm8CrTe13Cl
_chemical_formula_sum 'Sm16 Cr2 Te26 Cl2'
_space_group_name_H-M_alt 'P 1'
_space_group_IT_number 1
_space_group_name_Hall 'P 1'
_cell_length_a 13.752
_cell_length_b 13.752
_cell_length_c 24.459
_cell_angle_alpha 90.00
_cell_angle_beta 90.00
_cell_angle_gamma 162.83
loop_
_atom_site_label
_atom_site_fract_x
_atom_site_fract_y
_atom_site_fract_z
Sm1 0.017 0.983 0.500
Sm2 0.053 0.947 0.835
Sm3 0.108 0.892 0.663
Sm4 0.149 0.851 0.995
Sm5 0.275 0.725 0.684
Sm6 0.307 0.693 0.009
Sm7 0.367 0.633 0.843
Sm8 0.440 0.560 0.675
Sm9 0.560 0.440 0.175
Sm10 0.633 0.367 0.343
Sm11 0.693 0.307 0.509
Sm12 0.725 0.275 0.184
Sm13 0.851 0.149 0.495
Sm14 0.892 0.108 0.163
Sm15 0.947 0.053 0.335
Sm16 0.983 0.017 0.000
Cr1 0.291 0.709 0.337
Cr2 0.709 0.291 0.837
Te1 0.062 0.938 0.278
Te2 0.129 0.871 0.442
Te3 0.144 0.856 0.136
Te4 0.173 0.827 0.774
Te5 0.204 0.796 0.281
Te6 0.245 0.755 0.902
Te7 0.275 0.725 0.544
Te8 0.305 0.695 0.141
Te9 0.376 0.624 0.397
Te10 0.413 0.587 0.063
Te11 0.434 0.566 0.537
Te12 0.450 0.550 0.237
Te13 0.482 0.518 0.899
Te14 0.518 0.482 0.399
Te15 0.550 0.450 0.737
Te16 0.566 0.434 0.037
Te17 0.587 0.413 0.563
Te18 0.624 0.376 0.897
Te19 0.695 0.305 0.641
Te20 0.725 0.275 0.044
Te21 0.755 0.245 0.402
Te22 0.796 0.204 0.781
Te23 0.827 0.173 0.274
Te24 0.856 0.144 0.636
Te25 0.871 0.129 0.942
Te26 0.938 0.062 0.778
Cl1 0.001 0.999 0.131
Cl2 0.999 0.001 0.631
```

---

(4)
# Ti2ZnO4
Theoretical powder X-ray diffraction pattern, Cu Kα X-rays. Input: a DFT-relaxed cell (GGA-PBE, the Materials Project).

Largest 10 diffraction maxima, by angle, 10 to 90 degrees two-theta:
Position (°2θ)	I/Imax
28.3	91
28.8	74
31.7	48
32.7	100
35.9	43
36.4	78
41.3	80
46.3	60
49.3	66
55.0	42

```
data_Ti2ZnO4
_chemical_formula_sum 'Ti4 Zn2 O8'
_space_group_name_H-M_alt 'P 1'
_space_group_IT_number 1
_space_group_name_Hall 'P 1'
_cell_length_a 7.392
_cell_length_b 7.392
_cell_length_c 9.787
_cell_angle_alpha 129.82
_cell_angle_beta 129.82
_cell_angle_gamma 23.03
loop_
_atom_site_label
_atom_site_fract_x
_atom_site_fract_y
_atom_site_fract_z
Ti1 0.141 0.141 0.467
Ti2 0.344 0.344 0.183
Ti3 0.656 0.656 0.817
Ti4 0.859 0.859 0.533
Zn1 0.107 0.107 0.114
Zn2 0.893 0.893 0.886
O1 0.036 0.036 0.721
O2 0.290 0.290 0.935
O3 0.330 0.330 0.644
O4 0.352 0.352 0.394
O5 0.648 0.648 0.606
O6 0.670 0.670 0.356
O7 0.710 0.710 0.065
O8 0.964 0.964 0.279
```

---

(5)
# Cs2Se
Theoretical powder X-ray diffraction pattern, Cu Kα X-rays. Input: a DFT-relaxed cell (GGA-PBE, the Materials Project).

Largest 10 diffraction maxima, by angle, 10 to 90 degrees two-theta:
Position (°2θ)	I/Imax
27.6	100
29.4	88
40.8	34
51.1	35
52.2	17
53.9	31
61.1	11
68.3	15
70.7	14
78.3	11

```
data_Cs2Se
_chemical_formula_sum 'Cs4 Se2'
_space_group_name_H-M_alt 'P 1'
_space_group_IT_number 1
_space_group_name_Hall 'P 1'
_cell_length_a 6.071
_cell_length_b 6.071
_cell_length_c 8.214
_cell_angle_alpha 90.00
_cell_angle_beta 90.00
_cell_angle_gamma 120.00
loop_
_atom_site_label
_atom_site_fract_x
_atom_site_fract_y
_atom_site_fract_z
Cs1 0.000 0.000 0.000
Cs2 0.000 0.000 0.500
Cs3 0.333 0.667 0.250
Cs4 0.667 0.333 0.750
Se1 0.333 0.667 0.750
Se2 0.667 0.333 0.250
```

---

(6)
# CsMo3Se3
Theoretical powder X-ray diffraction pattern, Cu Kα X-rays. Input: a DFT-relaxed cell (GGA-PBE, the Materials Project).

Largest 10 diffraction maxima, by angle, 10 to 90 degrees two-theta:
Position (°2θ)	I/Imax
10.1	100
26.4	10
27.0	17
28.3	15
33.5	18
37.1	10
39.7	17
40.9	27
42.2	20
49.7	29

```
data_CsMo3Se3
_chemical_formula_sum 'Cs2 Mo6 Se6'
_space_group_name_H-M_alt 'P 1'
_space_group_IT_number 1
_space_group_name_Hall 'P 1'
_cell_length_a 10.100
_cell_length_b 10.100
_cell_length_c 4.537
_cell_angle_alpha 90.00
_cell_angle_beta 90.00
_cell_angle_gamma 120.00
loop_
_atom_site_label
_atom_site_fract_x
_atom_site_fract_y
_atom_site_fract_z
Cs1 0.333 0.667 0.250
Cs2 0.667 0.333 0.750
Mo1 0.024 0.861 0.250
Mo2 0.139 0.163 0.250
Mo3 0.163 0.024 0.750
Mo4 0.837 0.976 0.250
Mo5 0.861 0.837 0.750
Mo6 0.976 0.139 0.750
Se1 0.048 0.726 0.750
Se2 0.274 0.323 0.750
Se3 0.323 0.048 0.250
Se4 0.677 0.952 0.750
Se5 0.726 0.677 0.250
Se6 0.952 0.274 0.250
```

---

(7)
# BaAg2
Theoretical powder X-ray diffraction pattern, Cu Kα X-rays. Input: a DFT-relaxed cell (GGA-PBE, the Materials Project).

Largest 10 diffraction maxima, by angle, 10 to 90 degrees two-theta:
Position (°2θ)	I/Imax
29.2	100
36.4	59
41.1	14
47.3	26
56.1	32
61.1	23
65.6	10
67.6	9
80.4	11
84.7	9

```
data_BaAg2
_chemical_formula_sum 'Ba1 Ag2'
_space_group_name_H-M_alt 'P 1'
_space_group_IT_number 1
_space_group_name_Hall 'P 1'
_cell_length_a 4.933
_cell_length_b 4.933
_cell_length_c 4.393
_cell_angle_alpha 90.00
_cell_angle_beta 90.00
_cell_angle_gamma 120.00
loop_
_atom_site_label
_atom_site_fract_x
_atom_site_fract_y
_atom_site_fract_z
Ba1 0.000 0.000 0.000
Ag1 0.333 0.667 0.500
Ag2 0.667 0.333 0.500
```

---

(8)
# Sr3Er
Theoretical powder X-ray diffraction pattern, Cu Kα X-rays. Input: a DFT-relaxed cell (GGA-PBE, the Materials Project).

Largest 10 diffraction maxima, by angle, 10 to 90 degrees two-theta:
Position (°2θ)	I/Imax
25.4	23
27.1	26
28.9	100
37.5	17
44.7	20
49.0	23
53.1	24
54.1	17
72.8	14
77.6	10

```
data_Sr3Er
_chemical_formula_sum 'Sr6 Er2'
_space_group_name_H-M_alt 'P 1'
_space_group_IT_number 1
_space_group_name_Hall 'P 1'
_cell_length_a 8.101
_cell_length_b 8.101
_cell_length_c 6.571
_cell_angle_alpha 90.00
_cell_angle_beta 90.00
_cell_angle_gamma 120.00
loop_
_atom_site_label
_atom_site_fract_x
_atom_site_fract_y
_atom_site_fract_z
Sr1 0.172 0.343 0.250
Sr2 0.172 0.828 0.250
Sr3 0.343 0.172 0.750
Sr4 0.657 0.828 0.250
Sr5 0.828 0.172 0.750
Sr6 0.828 0.657 0.750
Er1 0.333 0.667 0.750
Er2 0.667 0.333 0.250
```